Record 1
This entry pairs a crystal structure of Li3Mg2Pd8 with its theoretical PXRD pattern. Radiation: Cu Kα (λ = 1.5418 Å). Structure: a cell relaxed with GGA-PBE.
Lines closer than 0.1° are merged.

Most intense lines, 10° ≤ 2θ ≤ 90°, in order of rising 2θ:
2θ/deg	d_spacing	I (rel.)
22.87	3.889	100.0
36.24	2.479	69.5
40.18	2.245	63.1
43.28	2.090	91.7
46.73	1.944	36.7
75.17	1.264	17.2

Structure:
abc: 8.327 8.327 4.488
angles: 90.00 90.00 138.15
Fractional coordinates of all 13 atoms:
1 Li 0.000 0.000 0.000
2 Li 0.280 0.280 0.500
3 Li 0.720 0.720 0.500
4 Mg 0.241 0.759 0.000
5 Mg 0.759 0.241 0.000
6 Pd 0.134 0.866 0.500
7 Pd 0.162 0.382 0.000
8 Pd 0.345 0.655 0.500
9 Pd 0.382 0.162 0.000
10 Pd 0.618 0.838 0.000
11 Pd 0.655 0.345 0.500
12 Pd 0.838 0.618 0.000
13 Pd 0.866 0.134 0.500

***

Record 2
This entry pairs a crystal structure of LiMg3Sn3Pd2 with its theoretical PXRD pattern. Radiation: Cu Kα (λ = 1.5418 Å). Structure: a cell relaxed with GGA-PBE.
Lines closer than 0.1° are merged.

Most intense lines, 10° ≤ 2θ ≤ 90°, in order of rising 2θ:
2θ/deg	d_spacing	I (rel.)
22.76	3.907	64.1
27.15	3.284	66.0
35.08	2.558	54.2
35.71	2.514	100.0
39.97	2.256	84.7
48.99	1.859	59.3

Structure:
abc: 7.814 7.814 3.284
angles: 90.00 90.00 120.00
Fractional coordinates of all 9 atoms:
1 Li 0.000 0.000 0.000
2 Mg 0.000 0.612 0.000
3 Mg 0.388 0.388 0.000
4 Mg 0.612 0.000 0.000
5 Sn 0.000 0.285 0.500
6 Sn 0.285 0.000 0.500
7 Sn 0.715 0.715 0.500
8 Pd 0.333 0.667 0.500
9 Pd 0.667 0.333 0.500

***

Record 3
This entry pairs a crystal structure of Li17PmMg with its theoretical PXRD pattern. Radiation: Cu Kα (λ = 1.5418 Å). Structure: a cell relaxed with GGA-PBE.
Lines closer than 0.1° are merged.

Most intense lines, 10° ≤ 2θ ≤ 90°, in order of rising 2θ:
2θ/deg	d_spacing	I (rel.)
12.20	7.252	100.0
15.86	5.586	64.1
18.61	4.767	62.2
22.32	3.983	29.1
25.68	3.469	64.5
37.19	2.417	42.2

Structure:
abc: 7.475 7.475 7.475
angles: 79.23 79.23 79.23
Fractional coordinates of all 19 atoms:
1 Li 0.052 0.474 0.474
2 Li 0.056 0.056 0.056
3 Li 0.114 0.114 0.678
4 Li 0.114 0.678 0.114
5 Li 0.152 0.447 0.831
6 Li 0.152 0.831 0.447
7 Li 0.236 0.236 0.236
8 Li 0.370 0.749 0.749
9 Li 0.447 0.152 0.831
10 Li 0.447 0.831 0.152
11 Li 0.474 0.052 0.474
12 Li 0.474 0.474 0.052
13 Li 0.678 0.114 0.114
14 Li 0.749 0.370 0.749
15 Li 0.749 0.749 0.370
16 Li 0.831 0.152 0.447
17 Li 0.831 0.447 0.152
18 Pm 0.805 0.805 0.805
19 Mg 0.464 0.464 0.464

***

Record 4
This entry pairs a crystal structure of Li2Pm2Mg3 with its theoretical PXRD pattern. Radiation: Cu Kα (λ = 1.5418 Å). Structure: a cell relaxed with GGA-PBE.
Lines closer than 0.1° are merged.

Most intense lines, 10° ≤ 2θ ≤ 90°, in order of rising 2θ:
2θ/deg	d_spacing	I (rel.)
18.73	4.737	61.8
19.83	4.478	82.1
25.17	3.538	100.0
31.02	2.883	94.8
32.09	2.789	62.9
35.90	2.502	70.4

Structure:
abc: 10.513 4.998 7.070
angles: 90.00 106.40 90.00
Fractional coordinates of all 14 atoms:
1 Li 0.082 0.000 0.172
2 Li 0.418 0.500 0.828
3 Li 0.582 0.500 0.172
4 Li 0.918 0.000 0.828
5 Pm 0.129 0.500 0.849
6 Pm 0.371 0.000 0.151
7 Pm 0.629 0.000 0.849
8 Pm 0.871 0.500 0.151
9 Mg 0.000 0.000 0.500
10 Mg 0.199 0.500 0.365
11 Mg 0.301 0.000 0.635
12 Mg 0.500 0.500 0.500
13 Mg 0.699 0.000 0.365
14 Mg 0.801 0.500 0.635

***

Record 5
This entry pairs a crystal structure of Li3Pm2MgSn4 with its theoretical PXRD pattern. Radiation: Cu Kα (λ = 1.5418 Å). Structure: a cell relaxed with GGA-PBE.
Lines closer than 0.1° are merged.

Most intense lines, 10° ≤ 2θ ≤ 90°, in order of rising 2θ:
2θ/deg	d_spacing	I (rel.)
25.08	3.550	33.2
29.56	3.022	30.2
30.24	2.955	35.1
32.35	2.767	100.0
40.85	2.209	42.8
43.09	2.099	29.0

Structure:
abc: 4.418 4.418 11.928
angles: 90.00 90.00 90.00
Fractional coordinates of all 10 atoms:
1 Li 0.000 0.000 0.000
2 Li 0.000 0.500 0.634
3 Li 0.500 0.000 0.366
4 Pm 0.000 0.500 0.264
5 Pm 0.500 0.000 0.736
6 Mg 0.500 0.500 0.000
7 Sn 0.000 0.000 0.500
8 Sn 0.000 0.500 0.847
9 Sn 0.500 0.000 0.153
10 Sn 0.500 0.500 0.500

***

Record 6
This entry pairs a crystal structure of Li3PrMg3 with its theoretical PXRD pattern. Radiation: Cu Kα (λ = 1.5418 Å). Structure: a cell relaxed with GGA-PBE.
Lines closer than 0.1° are merged.

Most intense lines, 10° ≤ 2θ ≤ 90°, in order of rising 2θ:
2θ/deg	d_spacing	I (rel.)
17.64	5.028	78.0
25.05	3.555	42.6
30.80	2.903	100.0
40.10	2.248	20.1
47.87	1.900	58.4
83.88	1.153	16.9

Structure:
abc: 7.110 7.110 7.110
angles: 90.00 90.00 90.00
Fractional coordinates of all 14 atoms:
1 Li 0.000 0.250 0.500
2 Li 0.000 0.750 0.500
3 Li 0.250 0.500 0.000
4 Li 0.500 0.000 0.250
5 Li 0.500 0.000 0.750
6 Li 0.750 0.500 0.000
7 Pr 0.000 0.000 0.000
8 Pr 0.500 0.500 0.500
9 Mg 0.000 0.500 0.250
10 Mg 0.000 0.500 0.750
11 Mg 0.250 0.000 0.500
12 Mg 0.500 0.250 0.000
13 Mg 0.500 0.750 0.000
14 Mg 0.750 0.000 0.500

***

Record 7
This entry pairs a crystal structure of Li2PrMg9 with its theoretical PXRD pattern. Radiation: Cu Kα (λ = 1.5418 Å). Structure: a cell relaxed with GGA-PBE.
Lines closer than 0.1° are merged.

Most intense lines, 10° ≤ 2θ ≤ 90°, in order of rising 2θ:
2θ/deg	d_spacing	I (rel.)
13.62	6.500	49.0
20.80	4.270	34.1
25.34	3.515	32.7
29.06	3.072	34.5
33.01	2.714	100.0
33.17	2.701	59.7

Structure:
abc: 9.371 9.371 9.371
angles: 99.75 99.75 131.40
Fractional coordinates of all 24 atoms:
1 Li 0.000 0.000 0.000
2 Li 0.000 0.000 0.500
3 Li 0.000 0.500 0.000
4 Li 0.500 0.000 0.500
5 Pr 0.375 0.625 0.750
6 Pr 0.625 0.375 0.250
7 Mg 0.125 0.875 0.250
8 Mg 0.130 0.558 0.329
9 Mg 0.130 0.801 0.573
10 Mg 0.199 0.272 0.329
11 Mg 0.199 0.870 0.927
12 Mg 0.272 0.199 0.829
13 Mg 0.272 0.442 0.073
14 Mg 0.442 0.272 0.573
15 Mg 0.442 0.870 0.171
16 Mg 0.558 0.130 0.829
17 Mg 0.558 0.728 0.427
18 Mg 0.728 0.558 0.927
19 Mg 0.728 0.801 0.171
20 Mg 0.801 0.130 0.073
21 Mg 0.801 0.728 0.671
22 Mg 0.870 0.199 0.427
23 Mg 0.870 0.442 0.671
24 Mg 0.875 0.125 0.750

***

Record 8
This entry pairs a crystal structure of Li3Pr2Mg3 with its theoretical PXRD pattern. Radiation: Cu Kα (λ = 1.5418 Å). Structure: a cell relaxed with GGA-PBE.
Lines closer than 0.1° are merged.

Most intense lines, 10° ≤ 2θ ≤ 90°, in order of rising 2θ:
2θ/deg	d_spacing	I (rel.)
21.02	4.226	100.0
24.32	3.659	85.0
34.61	2.591	55.8
34.72	2.584	55.6
40.88	2.208	40.5
62.19	1.493	30.1

Structure:
abc: 8.986 8.986 8.986
angles: 33.42 33.42 33.42
Fractional coordinates of all 8 atoms:
1 Li 0.000 0.000 0.000
2 Li 0.247 0.247 0.247
3 Li 0.750 0.750 0.750
4 Pr 0.372 0.372 0.372
5 Pr 0.875 0.875 0.875
6 Mg 0.123 0.123 0.123
7 Mg 0.498 0.498 0.498
8 Mg 0.624 0.624 0.624